For Cr3Co3Sb2O16, a structure optimized by DFT (PBE+U) gives the computed powder diffractogram in this record (CuKα).

Crystal structure
```
data_Cr3Co3Sb2O16
_cell_length_a 5.7829
_cell_length_b 5.7884
_cell_length_c 9.2401
_cell_angle_alpha 89.00
_cell_angle_beta 88.93
_cell_angle_gamma 60.31
_space_group_name_H-M_alt 'P 1'
_space_group_IT_number 1
loop_
_space_group_symop_operation_xyz
'x,y,z'
loop_
_atom_site_label
_atom_site_type_symbol
_atom_site_fract_x
_atom_site_fract_y
_atom_site_fract_z
Cr1 Cr 0.0000 0.0000 0.0000
Cr2 Cr 0.0062 0.5049 0.0191
Cr3 Cr 0.1728 0.1678 0.5030
Co1 Co 0.4939 0.5043 0.0063
Co2 Co 0.6697 0.1679 0.5110
Co3 Co 0.6735 0.6769 0.5086
Sb1 Sb 0.1938 0.6633 0.2870
Sb2 Sb 0.5126 0.9886 0.7830
O1 O 0.0134 0.0058 0.3985
O2 O 0.0154 0.4984 0.4030
O3 O 0.1696 0.6593 0.9009
O4 O 0.1748 0.1606 0.8988
O5 O 0.3240 0.8146 0.1244
O6 O 0.3247 0.3681 0.1364
O7 O 0.3601 0.8536 0.6274
O8 O 0.3650 0.2966 0.6309
O9 O 0.5235 0.0042 0.4060
O10 O 0.5327 0.4944 0.3934
O11 O 0.6748 0.1633 0.9001
O12 O 0.6791 0.6534 0.8929
O13 O 0.8075 0.8547 0.6271
O14 O 0.8272 0.3354 0.6016
O15 O 0.8292 0.3408 0.0990
O16 O 0.8830 0.8153 0.1382
```

Main lines, by angle (2θ from 15° to 90°):
(1 0 1), 20.02 deg, I = 100; (0 1 -1), 20.20 deg, I = 62; (1 1 -1), 20.37 deg, I = 31; (1 0 2), 26.04 deg, I = 30; (1 2 2), 36.35 deg, I = 30; (-1 1 2), 36.53 deg, I = 27; (2 1 -2), 36.97 deg, I = 52; (2 4 0), 64.43 deg, I = 26